No. 1
Theoretical X-ray diffraction stick pattern of TaPd3S for Cu Kα (λ = 1.5418 Å), from a cell relaxed with PBE.
Peak positions follow from Bragg's law for the DFT cell and can differ from measured ones.

Main lines, in order of rising 2θ (10 to 90 degrees two-theta):
2θ = 28.2°, d 3.160, I = 124, (1 1 0)
2θ = 34.8°, d 2.580, I = 1000, (1 1 1)
2θ = 40.4°, d 2.235, I = 642, (2 0 0)
2θ = 50.0°, d 1.825, I = 51, (2 1 1)
2θ = 58.4°, d 1.580, I = 428, (2 2 0)
2θ = 69.8°, d 1.348, I = 391, (3 1 1)
2θ = 73.4°, d 1.290, I = 144, (2 2 2)
2θ = 87.3°, d 1.117, I = 70, (4 0 0)

Structure:
Lattice parameters (Å, degrees): 4.469 4.469 4.469 90.00 90.00 90.00
Space group Pm-3m (No. 221)
One atom of each set of equivalent atoms:
1 Ta 0.000 0.000 0.000 x1
2 Pd 0.000 0.500 0.500 x3
3 S 0.500 0.500 0.500 x1


No. 2
Theoretical X-ray diffraction stick pattern of Tb3Si5Ni6 for Cu Kα (λ = 1.5418 Å), from a cell relaxed with PBE.
Peak positions follow from Bragg's law for the DFT cell and can differ from measured ones.

Main lines, in order of rising 2θ (10 to 90 degrees two-theta):
2θ = 24.6°, d 3.613, I = 643, (0 3 1)
2θ = 32.3°, d 2.768, I = 211, (1 3 0)
2θ = 36.8°, d 2.444, I = 833, (1 0 3)
2θ = 37.7°, d 2.384, I = 1000, (1 3 2)
2θ = 46.3°, d 1.960, I = 188, (0 6 0)
2θ = 46.5°, d 1.955, I = 260, (2 0 0)
2θ = 60.6°, d 1.528, I = 327, (2 3 3)
2θ = 69.0°, d 1.362, I = 209, (1 3 6)

Structure:
Lattice parameters (Å, degrees): 3.910 11.760 9.386 90.00 90.00 90.00
Space group Pmmn (No. 59, origin choice 2)
One atom of each set of equivalent atoms:
1 Tb 0.250 0.087 0.248 x4
2 Tb 0.250 0.750 0.247 x2
3 Si 0.250 0.079 0.857 x4
4 Si 0.250 0.635 0.518 x4
5 Si 0.250 0.750 0.884 x2
6 Ni 0.250 0.054 0.594 x4
7 Ni 0.250 0.250 0.500 x2
8 Ni 0.250 0.250 0.987 x2
9 Ni 0.250 0.580 0.007 x4


No. 3
Theoretical X-ray diffraction stick pattern of Ba2Cl3F6 for Cu Kα (λ = 1.5418 Å), from a cell relaxed with PBE.
Peak positions follow from Bragg's law for the DFT cell and can differ from measured ones.

Main lines, in order of rising 2θ (10 to 90 degrees two-theta):
2θ = 13.8°, d 6.431, I = 1000, (1 0 0)
2θ = 15.3°, d 5.798, I = 913, (0 0 2)
2θ = 16.3°, d 5.440, I = 738, (1 -1 1)
2θ = 18.7°, d 4.749, I = 617, (1 0 -2)
2θ = 25.3°, d 3.524, I = 601, (1 1 1)
2θ = 26.9°, d 3.320, I = 545, (2 -1 1)
2θ = 27.3°, d 3.266, I = 605, (1 -2 2)
2θ = 31.5°, d 2.841, I = 651, (-2 1 3)

Structure:
Lattice parameters (Å, degrees): 7.294 7.803 11.798 92.53 98.07 116.35
Space group P1 (No. 1)
One atom of each set of equivalent atoms:
1 Ba 0.000 0.000 0.000 x1
2 Ba 0.010 0.551 0.548 x1
3 Ba 0.680 0.866 0.462 x1
4 Ba 0.696 0.415 0.011 x1
5 Cl 0.122 0.428 0.262 x1
6 Cl 0.155 0.216 0.734 x1
7 Cl 0.537 0.202 0.277 x1
8 Cl 0.569 0.986 0.749 x1
9 Cl 0.804 0.765 0.219 x1
10 Cl 0.891 0.650 0.793 x1
11 F 0.049 0.695 0.000 x1
12 F 0.287 0.578 0.402 x1
13 F 0.306 0.229 0.882 x1
14 F 0.389 0.189 0.128 x1
15 F 0.403 0.839 0.608 x1
16 F 0.648 0.721 0.016 x1
17 F 0.693 0.218 0.423 x1
18 F 0.717 0.625 0.588 x1
19 F 0.740 0.134 0.889 x1
20 F 0.952 0.278 0.122 x1
21 F 0.974 0.792 0.421 x1
22 F 0.997 0.199 0.588 x1


No. 4
Theoretical X-ray diffraction stick pattern of Nd2PdPt7 for Cu Kα (λ = 1.5418 Å), from a cell relaxed with PBE.
Peak positions follow from Bragg's law for the DFT cell and can differ from measured ones.

Main lines, in order of rising 2θ (10 to 90 degrees two-theta):
2θ = 18.1°, d 4.898, I = 294, (2 0 0)
2θ = 31.6°, d 2.828, I = 847, (2 2 2)
2θ = 36.7°, d 2.449, I = 1000, (4 0 0)
2θ = 52.9°, d 1.732, I = 710, (4 4 0)
2θ = 62.9°, d 1.477, I = 364, (6 2 2)
2θ = 66.1°, d 1.414, I = 243, (4 4 4)
2θ = 86.6°, d 1.124, I = 156, (6 6 2)
2θ = 89.5°, d 1.095, I = 339, (8 4 0)

Structure:
Lattice parameters (Å, degrees): 9.796 9.796 9.796 90.00 90.00 90.00
Space group Fm-3m (No. 225)
One atom of each set of equivalent atoms:
1 Nd 0.250 0.250 0.250 x8
2 Pd 0.000 0.000 0.000 x4
3 Pt 0.000 0.000 0.249 x24
4 Pt 0.000 0.000 0.500 x4